This entry pairs a crystal structure of NiB4O7 with its theoretical powder X-ray diffraction pattern. Radiation: Cu Kα. Structure: a GGA+U-relaxed structure.
Kinematic intensities with the Lorentz-polarization factor, no thermal factor.

Main lines, low angle first (5° ≤ 2θ ≤ 70°):
(hkl), 2theta, I (rel.)
2 0 0, 16.2, 27
1 1 1, 23.4, 58
0 2 0, 27.7, 28
2 2 0, 32.3, 91
3 1 1, 33.1, 100
1 3 1, 46.5, 37
5 1 1, 47.2, 32
2 2 2, 47.9, 31
4 0 2, 48.2, 58
3 3 1, 52.5, 27

Structural model:
```
data_NiB4O7
_chemical_formula_sum 'Ni4 B16 O28'
_cell_length_a 10.9282
_cell_length_b 6.4401
_cell_length_c 5.2191
_cell_angle_alpha 90.00
_cell_angle_beta 90.00
_cell_angle_gamma 90.00
_space_group_name_H-M_alt 'C m c m'
_space_group_IT_number 63
_space_group_name_Hall '-C 2c 2'
loop_
_atom_site_label
_atom_site_type_symbol
_atom_site_fract_x
_atom_site_fract_y
_atom_site_fract_z
Ni1 Ni 0.0000 0.2466 0.2500
B1 B 0.1161 0.3133 0.7500
B2 B 0.2018 0.0000 0.0000
O1 O 0.0000 0.4297 0.7500
O2 O 0.1268 0.1850 0.5230
O3 O 0.2218 0.4766 0.7500
```